Simulated powder X-ray diffraction pattern
Compound: AlAg2Br
Radiation: CuKα
Structure: the GGA-PBE geometry in Alexandria
Lines closer than 0.1° are merged.

The 12 most intense peaks (5° ≤ 2θ ≤ 70°), in order of rising 2θ:
d = 8.832 Å, 2θ = 10.0°, I 24; d = 2.944 Å, 2θ = 30.4°, I 12; d = 2.843 Å, 2θ = 31.5°, I 42; d = 2.777 Å, 2θ = 32.2°, I 19; d = 2.439 Å, 2θ = 36.9°, I 100; d = 2.208 Å, 2θ = 40.9°, I 15; d = 2.045 Å, 2θ = 44.3°, I 8; d = 1.744 Å, 2θ = 52.5°, I 14; d = 1.706 Å, 2θ = 53.7°, I 9; d = 1.551 Å, 2θ = 59.6°, I 23; d = 1.512 Å, 2θ = 61.3°, I 9; d = 1.463 Å, 2θ = 63.6°, I 10

Structure:
a b c (Å): 3.315 3.315 8.832
angles (deg): 90.00 90.00 118.07
Atoms (fractional coordinates):
Al 0.000 0.000 0.000
Ag 0.000 0.000 0.526
Ag 0.500 0.500 0.777
Br 0.500 0.500 0.224